Structure and theoretical powder X-ray diffraction pattern of MgF2 (a PBE-relaxed structure; a wavelength of 1.5418 Å).
Intensities are scaled so that the largest is 100.

Main lines, in order of rising 2θ (2θ = 15–90°):
Position (°2θ), Rel. int.
26.4, 21
34.1, 20
36.6, 22
41.4, 100
45.6, 62
48.6, 42
54.0, 53
54.4, 24
60.6, 38
60.9, 40

Structure:
Unit cell a=5.272 b=3.398 c=6.744 alpha=90.00 beta=90.00 gamma=90.00
Positions (direct):
Mg 0.237 0.250 0.085
Mg 0.263 0.750 0.585
Mg 0.737 0.250 0.415
Mg 0.763 0.750 0.915
F 0.014 0.750 0.141
F 0.124 0.250 0.400
F 0.376 0.750 0.900
F 0.486 0.250 0.641
F 0.514 0.750 0.359
F 0.624 0.250 0.100
F 0.876 0.750 0.600
F 0.986 0.250 0.859